Entry 1:
Structure and simulated powder diffractogram of TbMn6Sn4Ge2 (DFT lattice parameters and positions (GGA-PBE); Cu Kα (weighted mean of Kα1 and Kα2)).
Neutral-atom scattering factors, no anomalous dispersion.

Top 10 peaks for 2θ from 10° to 90°, low angle first:
d [Å]	2θ (°)	Rel. int.
2.674	33.5	100
2.459	36.5	79
2.315	38.9	42
2.278	39.6	80
2.176	41.5	21
2.044	44.3	46
1.967	46.1	33
1.499	61.9	35
1.337	70.4	31
1.275	74.4	34

Cell and atoms:
```
data_TbMn6Sn4Ge2
_cell_length_a 5.3474
_cell_length_b 5.3474
_cell_length_c 8.7042
_cell_angle_alpha 90.00
_cell_angle_beta 90.00
_cell_angle_gamma 120.00
_space_group_name_H-M_alt 'P 6/m m m'
_space_group_IT_number 191
_space_group_name_Hall '-P 6 2'
loop_
_atom_site_label
_atom_site_fract_x
_atom_site_fract_y
_atom_site_fract_z
_atom_site_occupancy
Tb1 0.0000 0.0000 0.0000 1
Mn1 0.0000 0.5000 0.2329 1
Sn1 0.0000 0.0000 0.3346 1
Sn2 0.3333 0.6667 0.5000 1
Ge1 0.3333 0.6667 0.0000 1
```



Entry 2:
Structure and simulated powder diffractogram of Tb7NdTm5 (DFT lattice parameters and positions (GGA-PBE); Cu Kα (weighted mean of Kα1 and Kα2)).
Neutral-atom scattering factors, no anomalous dispersion.

Top 10 peaks for 2θ from 10° to 90°, low angle first:
d [Å]	2θ (°)	Rel. int.
3.251	27.4	27
2.874	31.1	100
2.855	31.3	55
2.829	31.6	76
2.796	32.0	22
2.557	35.1	87
2.514	35.7	29
1.625	56.6	27
1.591	58.0	33
1.415	66.0	23

Cell and atoms:
```
data_Tb7NdTm5
_cell_length_a 6.6414
_cell_length_b 11.1829
_cell_length_c 11.4943
_cell_angle_alpha 90.00
_cell_angle_beta 90.00
_cell_angle_gamma 90.00
_space_group_name_H-M_alt 'I m m 2'
_space_group_IT_number 44
loop_
_space_group_symop_operation_xyz
'x,y,z'
'-x,-y,z'
'-x,y,z'
'x,-y,z'
'x+1/2,y+1/2,z+1/2'
'-x+1/2,-y+1/2,z+1/2'
'-x+1/2,y+1/2,z+1/2'
'x+1/2,-y+1/2,z+1/2'
loop_
_atom_site_label
_atom_site_fract_x
_atom_site_fract_y
_atom_site_fract_z
_atom_site_occupancy
Tb1 0.0000 0.0000 0.0000 1
Tb2 0.0000 0.0000 0.3064 1
Tb3 0.0000 0.3266 0.7478 1
Tb4 0.0000 0.3282 0.2503 1
Tb5 0.0000 0.5000 0.9943 1
Nd1 0.0000 0.0000 0.6965 1
Tm1 0.0000 0.5000 0.5003 1
Tm2 0.2360 0.2311 0.4987 1
```



Entry 3:
Structure and simulated powder diffractogram of Tm3Co2 (DFT lattice parameters and positions (GGA-PBE); Cu Kα (weighted mean of Kα1 and Kα2)).
Neutral-atom scattering factors, no anomalous dispersion.

Top 10 peaks for 2θ from 10° to 90°, low angle first:
d [Å]	2θ (°)	Rel. int.
3.004	29.7	64
2.678	33.5	100
2.627	34.1	66
2.393	37.6	27
2.369	38.0	28
1.977	45.9	24
1.928	47.2	47
1.622	56.8	22
1.555	59.5	27
1.501	61.8	25

Cell and atoms:
```
data_Tm3Co2
_cell_length_a 3.8573
_cell_length_b 14.3607
_cell_length_c 3.8528
_cell_angle_alpha 90.00
_cell_angle_beta 90.00
_cell_angle_gamma 90.00
_space_group_name_H-M_alt 'C m m m'
_space_group_IT_number 65
_space_group_name_Hall '-C 2 2'
loop_
_atom_site_label
_atom_site_fract_x
_atom_site_fract_y
_atom_site_fract_z
_atom_site_occupancy
Tm1 0.0000 0.0000 0.0000 1
Tm2 0.0000 0.3488 0.5000 1
Co1 0.0000 0.2004 0.0000 1
```



Entry 4:
Structure and simulated powder diffractogram of Pr2ZrS5 (DFT lattice parameters and positions (GGA-PBE); Cu Kα (weighted mean of Kα1 and Kα2)).
Neutral-atom scattering factors, no anomalous dispersion.

Top 10 peaks for 2θ from 10° to 90°, low angle first:
d [Å]	2θ (°)	Rel. int.
3.718	23.9	50
3.456	25.8	100
3.396	26.2	57
3.324	26.8	49
2.663	33.7	43
2.626	34.1	70
2.478	36.3	70
2.019	44.9	34
1.954	46.5	59
1.743	52.5	35

Cell and atoms:
```
data_Pr2ZrS5
_cell_length_a 11.7109
_cell_length_b 8.0761
_cell_length_c 7.4352
_cell_angle_alpha 90.00
_cell_angle_beta 90.00
_cell_angle_gamma 90.00
_space_group_name_H-M_alt 'P n m a'
_space_group_IT_number 62
loop_
_space_group_symop_operation_xyz
'x,y,z'
'-x,-y,-z'
'-x+1/2,-y,z+1/2'
'x+1/2,y,-z+1/2'
'x+1/2,-y+1/2,-z+1/2'
'-x+1/2,y+1/2,z+1/2'
'-x,y+1/2,-z'
'x,-y+1/2,z'
loop_
_atom_site_label
_atom_site_fract_x
_atom_site_fract_y
_atom_site_fract_z
_atom_site_occupancy
Pr1 0.1758 0.0010 0.0372 1
Zr1 0.0086 0.7500 0.5756 1
S1 0.0045 0.7500 0.9431 1
S2 0.0844 0.0356 0.6661 1
S3 0.1849 0.7500 0.3443 1
S4 0.2062 0.2500 0.3233 1
```